LaCr3Ag: simulated powder XRD pattern (λ = 1.5418 Å (Cu Kα)), based on a cell relaxed with PBE.

Crystal structure
Unit cell a=5.003 b=5.003 c=5.003 alpha=90.00 beta=90.00 gamma=90.00
Space group Pm-3m (No. 221)
Asymmetric unit:
La 0.000 0.000 0.000 x1
Cr 0.000 0.500 0.500 x3
Ag 0.500 0.500 0.500 x1

Largest 10 diffraction maxima, in order of falling intensity, 2θ = 10–80°:
| index | d/Å | I/Imax |
| --- | --- | --- |
| 1 1 0 | 3.538 | 100 |
| 2 0 0 | 2.502 | 88 |
| 2 2 0 | 1.769 | 59 |
| 2 1 1 | 2.043 | 44 |
| 1 1 1 | 2.889 | 36 |
| 3 2 1 | 1.337 | 22 |
| 3 1 0 | 1.582 | 20 |
| 2 2 2 | 1.444 | 19 |
| 3 1 1 | 1.509 | 14 |
| 4 0 0 | 1.251 | 9 |

Rb2HoGaO4: simulated powder XRD pattern (λ = 1.5418 Å (Cu Kα)), based on a cell relaxed with PBE.

Crystal structure
Unit cell a=5.531 b=12.696 c=22.439 alpha=90.00 beta=90.00 gamma=90.00
Space group Fddd (No. 70, origin choice 2)
Asymmetric unit:
Rb 0.125 0.125 0.310 x16
Ho 0.125 0.125 0.125 x8
Ga 0.125 0.125 0.625 x8
O 0.096 0.286 0.834 x32

Largest 10 diffraction maxima, in order of falling intensity, 2θ = 10–80°:
| index | d/Å | I/Imax |
| --- | --- | --- |
| 0 2 6 | 3.222 | 100 |
| 0 0 4 | 5.610 | 93 |
| 0 2 2 | 5.525 | 56 |
| 2 2 0 | 2.535 | 55 |
| 0 4 0 | 3.174 | 47 |
| 1 3 5 | 2.690 | 44 |
| 2 4 6 | 1.821 | 43 |
| 1 1 1 | 4.946 | 38 |
| 2 0 6 | 2.224 | 35 |
| 1 1 5 | 3.361 | 33 |